Record 1
This entry pairs a crystal structure of NdDyBC2 with its simulated powder diffraction line list. Radiation: λ = 1.5418 Å (Cu Kα). Structure: a cell relaxed with GGA-PBE.

Structure:
Lattice parameters (Å, degrees): 5.2716 5.2711 6.0687 90.00 114.84 90.00
Space group Cm (No. 8)
Unique sites:
Nd: 0.0000 0.0000 0.0000
Dy: 0.2006 0.5000 0.4137
B: 0.3566 0.0000 0.7179
C: 0.2179 0.0000 0.4470
C: 0.4929 0.0000 0.9876

Principal peaks in the range 10° ≤ 2θ ≤ 90°, in order of rising 2θ:
2theta  Rel. int.
16.1  10
25.1  28
25.3  31
32.5  23
34.0  100
34.5  38
47.8  15
48.2  8
48.9  21
81.7  9


Record 2
This entry pairs a crystal structure of KBPt3 with its simulated powder diffraction line list. Radiation: λ = 1.5418 Å (Cu Kα). Structure: a cell relaxed with GGA-PBE.

Structure:
Lattice parameters (Å, degrees): 4.2710 6.2967 8.1066 103.90 104.99 93.21
Space group P1 (No. 1)
Unique sites:
K: 0.0000 0.0000 0.0000
K: 0.2448 0.8216 0.5941
B: 0.7434 0.6603 0.1935
B: 0.8729 0.2245 0.4954
Pt: 0.2012 0.5546 0.1636
Pt: 0.3707 0.3108 0.5106
Pt: 0.5861 0.4672 0.9365
Pt: 0.5995 0.9465 0.3070
Pt: 0.7553 0.3672 0.2849
Pt: 0.9896 0.3761 0.7519

Principal peaks in the range 10° ≤ 2θ ≤ 90°, in order of rising 2θ:
2theta  Rel. int.
11.7  28
14.6  100
16.1  43
29.5  28
32.7  23
36.0  38
36.3  35
36.6  26
36.6  28
44.2  21


Record 3
This entry pairs a crystal structure of Hf2Sn5 with its simulated powder diffraction line list. Radiation: λ = 1.5418 Å (Cu Kα). Structure: a cell relaxed with GGA-PBE.

Structure:
Lattice parameters (Å, degrees): 4.2288 4.2926 18.2832 90.00 90.00 90.00
Space group Pmmn (No. 59, origin choice 2)
Unique sites:
Hf: 0.2500 0.2500 0.1260
Hf: 0.2500 0.7500 0.2982
Sn: 0.2500 0.2500 0.4192
Sn: 0.2500 0.2500 0.5797
Sn: 0.2500 0.2500 0.8476
Sn: 0.2500 0.7500 0.0002
Sn: 0.2500 0.7500 0.7323

Principal peaks in the range 10° ≤ 2θ ≤ 90°, in order of rising 2θ:
2theta  Rel. int.
31.3  16
33.2  85
34.3  42
35.7  100
42.1  39
42.8  31
55.4  22
56.0  21
61.6  22
72.4  22


Record 4
This entry pairs a crystal structure of BaTh2S5 with its simulated powder diffraction line list. Radiation: λ = 1.5418 Å (Cu Kα). Structure: a cell relaxed with GGA-PBE.

Structure:
Lattice parameters (Å, degrees): 8.6582 7.6777 12.1654 90.00 90.28 90.00
Space group P2_1/c (No. 14)
Unique sites:
Ba: 0.0096 0.0505 0.3315
Th: 0.2530 0.5683 0.4916
Th: 0.4981 0.5201 0.1788
S: 0.0356 0.1753 0.0773
S: 0.2740 0.6912 0.7151
S: 0.2848 0.1659 0.8127
S: 0.2905 0.5495 0.9977
S: 0.4598 0.1600 0.1015

Principal peaks in the range 10° ≤ 2θ ≤ 90°, in order of rising 2θ:
2theta  Rel. int.
10.2  21
23.2  45
24.7  86
24.8  100
25.2  33
25.3  34
34.5  33
34.6  28
41.7  51
44.2  22


Record 5
This entry pairs a crystal structure of TbSiB4 with its simulated powder diffraction line list. Radiation: λ = 1.5418 Å (Cu Kα). Structure: a cell relaxed with GGA-PBE.

Structure:
Lattice parameters (Å, degrees): 3.1752 5.0691 8.0778 90.00 90.00 90.00
Space group Immm (No. 71)
Unique sites:
Tb: 0.0000 0.0000 0.0000
Si: 0.0000 0.0000 0.5000
B: 0.0000 0.3228 0.2643

Principal peaks in the range 10° ≤ 2θ ≤ 90°, in order of rising 2θ:
2theta  Rel. int.
20.7  100
22.0  58
30.2  37
33.3  54
35.4  22
37.8  21
40.3  87
42.1  40
47.2  24
57.0  24


Record 6
This entry pairs a crystal structure of Fe2SnCl6 with its simulated powder diffraction line list. Radiation: λ = 1.5418 Å (Cu Kα). Structure: a cell relaxed with GGA-PBE.

Structure:
Lattice parameters (Å, degrees): 6.0445 6.6168 6.7077 92.37 95.53 115.48
Space group P1 (No. 1)
Unique sites:
Fe: 0.0000 0.0000 0.0000
Fe: 0.2877 0.8485 0.1778
Sn: 0.7000 0.4503 0.0485
Cl: 0.0511 0.3491 0.8922
Cl: 0.0668 0.5884 0.3723
Cl: 0.3040 0.1782 0.3180
Cl: 0.3320 0.9732 0.8560
Cl: 0.6945 0.8778 0.2350
Cl: 0.7201 0.7260 0.7551

Principal peaks in the range 10° ≤ 2θ ≤ 90°, in order of rising 2θ:
2theta  Rel. int.
13.3  100
16.7  18
20.9  18
29.7  11
30.1  17
30.7  13
31.5  26
33.4  11
34.1  14
42.6  12


Record 7
This entry pairs a crystal structure of LiGaPd2 with its simulated powder diffraction line list. Radiation: λ = 1.5418 Å (Cu Kα). Structure: a cell relaxed with GGA-PBE.

Structure:
Lattice parameters (Å, degrees): 4.3211 4.3211 8.0625 90.00 90.00 120.00
Space group P6_3/mmc (No. 194)
Unique sites:
Li: 0.3333 0.6667 0.2500
Ga: 0.0000 0.0000 0.0000
Pd: 0.3333 0.6667 0.5782

Principal peaks in the range 10° ≤ 2θ ≤ 90°, in order of rising 2θ:
2theta  Rel. int.
22.0  74
26.3  57
41.4  86
41.8  100
47.8  55
51.5  16
60.3  28
75.1  13
76.0  28
76.3  16


Record 8
This entry pairs a crystal structure of PrInCu2Sn with its simulated powder diffraction line list. Radiation: λ = 1.5418 Å (Cu Kα). Structure: a cell relaxed with GGA-PBE.

Structure:
Lattice parameters (Å, degrees): 4.4293 4.4293 10.7818 90.00 90.00 90.00
Space group P4/nmm (No. 129, origin choice 2)
Unique sites:
Pr: 0.2500 0.2500 0.2394
In: 0.2500 0.7500 0.5000
Cu: 0.2500 0.2500 0.6383
Cu: 0.2500 0.7500 0.0000
Sn: 0.2500 0.2500 0.8714

Principal peaks in the range 10° ≤ 2θ ≤ 90°, in order of rising 2θ:
2theta  Rel. int.
32.1  59
33.1  100
40.7  64
44.3  21
46.9  28
52.8  29
59.0  21
63.8  22
69.3  24
84.1  13


Record 9
This entry pairs a crystal structure of Pm2NdC3 with its simulated powder diffraction line list. Radiation: λ = 1.5418 Å (Cu Kα). Structure: a cell relaxed with GGA-PBE.

Structure:
Lattice parameters (Å, degrees): 3.7439 3.7439 9.1713 90.00 90.00 120.00
Space group P-3m1 (No. 164)
Unique sites:
Pm: 0.3333 0.6667 0.3340
Nd: 0.0000 0.0000 0.0000
C: 0.0000 0.0000 0.5000
C: 0.3333 0.6667 0.8320

Principal peaks in the range 10° ≤ 2θ ≤ 90°, in order of rising 2θ:
2theta  Rel. int.
29.2  100
33.9  69
48.6  49
57.7  46
60.6  17
71.2  8
78.8  19
81.3  21


Record 10
This entry pairs a crystal structure of Dy2ZnSb2 with its simulated powder diffraction line list. Radiation: λ = 1.5418 Å (Cu Kα). Structure: a cell relaxed with GGA-PBE.

Structure:
Lattice parameters (Å, degrees): 4.3559 18.3438 6.4747 90.00 90.00 90.00
Space group Cmc2_1 (No. 36)
Unique sites:
Dy: 0.0000 0.0078 0.0000
Dy: 0.0000 0.2042 0.7075
Zn: 0.0000 0.4096 0.7999
Sb: 0.0000 0.1727 0.2061
Sb: 0.0000 0.4108 0.2366

Principal peaks in the range 10° ≤ 2θ ≤ 90°, in order of rising 2θ:
2theta  Rel. int.
27.6  18
28.7  20
29.3  32
31.9  100
33.9  16
34.9  30
37.6  52
41.5  30
42.6  16
66.7  25


Record 11
This entry pairs a crystal structure of Hf2Al2Cu3Pd with its simulated powder diffraction line list. Radiation: λ = 1.5418 Å (Cu Kα). Structure: a cell relaxed with GGA-PBE.

Structure:
Lattice parameters (Å, degrees): 4.4132 4.4132 6.2702 90.00 90.00 90.00
Space group P-4m2 (No. 115)
Unique sites:
Hf: 0.0000 0.5000 0.2435
Al: 0.0000 0.5000 0.7524
Cu: 0.0000 0.0000 0.0000
Cu: 0.5000 0.5000 0.0000
Cu: 0.5000 0.5000 0.5000
Pd: 0.0000 0.0000 0.5000

Principal peaks in the range 10° ≤ 2θ ≤ 90°, in order of rising 2θ:
2theta  Rel. int.
24.7  43
40.8  100
48.2  7
48.3  14
58.9  5
59.2  11
65.0  6
74.2  11
74.4  22
88.4  7


Record 12
This entry pairs a crystal structure of DyHoHg2Au4 with its simulated powder diffraction line list. Radiation: λ = 1.5418 Å (Cu Kα). Structure: a cell relaxed with GGA-PBE.

Structure:
Lattice parameters (Å, degrees): 4.9193 4.9193 6.9576 90.00 90.00 90.00
Space group P4/mmm (No. 123)
Unique sites:
Dy: 0.0000 0.0000 0.0000
Ho: 0.5000 0.5000 0.5000
Hg: 0.0000 0.0000 0.5000
Hg: 0.5000 0.5000 0.0000
Au: 0.0000 0.5000 0.2503

Principal peaks in the range 10° ≤ 2θ ≤ 90°, in order of rising 2θ:
2theta  Rel. int.
22.1  1
36.5  100
52.6  18
65.8  37
77.6  12
89.0  17